# CaMnCl2O
Simulated XRD peak list, Cu Kα, 1.54184 Å. Input: a GGA+U-relaxed structure.

Lattice parameters (Å, degrees): 3.793 12.133 8.371 90.00 90.00 90.00
Space group Cmcm (No. 63)
Unique sites:
Ca 0.000 0.173 0.250
Mn 0.000 0.500 0.000
Cl 0.000 0.141 0.568
O 0.000 0.430 0.750

Peak list (6 most intense, 10° ≤ 2θ ≤ 80°, low angle first)
25.86 deg, intensity 23, hkl 0 2 2
32.36 deg, intensity 100, hkl 1 3 0
35.41 deg, intensity 37, hkl 0 2 3
40.83 deg, intensity 25, hkl 1 1 3
47.97 deg, intensity 18, hkl 2 0 0
49.63 deg, intensity 22, hkl 1 5 2